Structure and theoretical powder XRD pattern of Mg2ZnP2 (a DFT-relaxed cell (PBE, the Materials Project); λ = 1.5418 Å (Cu Kα)).
Intensities are scaled so that the largest is 100.

Most intense lines, 5 to 70 degrees two-theta, low angle first:
2θ = 13.51°, 6.553 Å, I 33
2θ = 25.44°, 3.502 Å, I 49
2θ = 28.91°, 3.088 Å, I 62
2θ = 37.60°, 2.392 Å, I 100
2θ = 44.83°, 2.022 Å, I 76
2θ = 49.16°, 1.853 Å, I 34
2θ = 59.90°, 1.544 Å, I 24
2θ = 62.61°, 1.484 Å, I 24

Structure:
```
data_Mg2ZnP2
_symmetry_space_group_name_H-M 'P 3 m 1'
_symmetry_Int_Tables_number 156
_cell_length_a 4.0435
_cell_length_b 4.0435
_cell_length_c 6.5528
_cell_angle_alpha 90.00
_cell_angle_beta 90.00
_cell_angle_gamma 120.00
loop_
_symmetry_equiv_pos_as_xyz
'x,y,z'
'-y,x-y,z'
'-x+y,-x,z'
'-y,-x,z'
'-x+y,y,z'
'x,x-y,z'
loop_
_atom_site_label
_atom_site_type_symbol
_atom_site_fract_x
_atom_site_fract_y
_atom_site_fract_z
Mg1 Mg 0.0000 0.0000 0.0000
Mg2 Mg 0.3333 0.6667 0.6397
Zn1 Zn 0.6667 0.3333 0.2743
P1 P 0.0000 0.0000 0.3945
P2 P 0.6667 0.3333 0.8673
```

Structure and theoretical powder XRD pattern of Mg3Pa (a DFT-relaxed cell (PBE, the Materials Project); λ = 1.5418 Å (Cu Kα)).
Intensities are scaled so that the largest is 100.

Most intense lines, 5 to 70 degrees two-theta, low angle first:
2θ = 15.44°, 5.739 Å, I 40
2θ = 23.22°, 3.831 Å, I 100
2θ = 26.91°, 3.313 Å, I 46
2θ = 35.83°, 2.506 Å, I 77
2θ = 44.59°, 2.032 Å, I 25
2θ = 45.37°, 1.999 Å, I 35
2θ = 47.49°, 1.914 Å, I 22
2θ = 55.44°, 1.657 Å, I 22

Structure:
```
data_Mg3Pa
_symmetry_space_group_name_H-M 'P 63/m m c'
_symmetry_Int_Tables_number 194
_symmetry_space_group_name_Hall '-P 6c 2c'
_cell_length_a 6.6269
_cell_length_b 6.6269
_cell_length_c 5.1462
_cell_angle_alpha 90.00
_cell_angle_beta 90.00
_cell_angle_gamma 120.00
loop_
_atom_site_label
_atom_site_type_symbol
_atom_site_fract_x
_atom_site_fract_y
_atom_site_fract_z
Mg1 Mg 0.1636 0.3272 0.2500
Pa1 Pa 0.3333 0.6667 0.7500
```

Structure and theoretical powder XRD pattern of Mg3Pa (a DFT-relaxed cell (PBE, the Materials Project); λ = 1.5418 Å (Cu Kα)).
Intensities are scaled so that the largest is 100.

Most intense lines, 5 to 70 degrees two-theta, low angle first:
2θ = 21.18°, 4.195 Å, I 99
2θ = 24.51°, 3.633 Å, I 53
2θ = 34.93°, 2.569 Å, I 100
2θ = 41.21°, 2.191 Å, I 56
2θ = 55.10°, 1.667 Å, I 25
2θ = 56.66°, 1.625 Å, I 23
2θ = 62.64°, 1.483 Å, I 37
2θ = 66.92°, 1.398 Å, I 19

Structure:
```
data_Mg3Pa
_symmetry_space_group_name_H-M 'F m -3 m'
_symmetry_Int_Tables_number 225
_symmetry_space_group_name_Hall '-F 4 2 3'
_cell_length_a 7.265
_cell_length_b 7.265
_cell_length_c 7.265
_cell_angle_alpha 90.00
_cell_angle_beta 90.00
_cell_angle_gamma 90.00
loop_
_atom_site_label
_atom_site_type_symbol
_atom_site_fract_x
_atom_site_fract_y
_atom_site_fract_z
Mg1 Mg 0.000 0.000 0.000
Mg2 Mg 0.250 0.250 0.250
Pa1 Pa 0.000 0.000 0.500
```

Structure and theoretical powder XRD pattern of MgPaRh2 (a DFT-relaxed cell (PBE, the Materials Project); λ = 1.5418 Å (Cu Kα)).
Intensities are scaled so that the largest is 100.

Most intense lines, 5 to 70 degrees two-theta, low angle first:
2θ = 23.11°, 3.849 Å, I 44
2θ = 26.75°, 3.333 Å, I 1
2θ = 38.19°, 2.357 Å, I 100
2θ = 45.11°, 2.010 Å, I 24
2θ = 55.11°, 1.667 Å, I 17
2θ = 60.54°, 1.529 Å, I 10
2θ = 69.02°, 1.361 Å, I 35

Structure:
```
data_MgPaRh2
_symmetry_space_group_name_H-M 'F m -3 m'
_symmetry_Int_Tables_number 225
_symmetry_space_group_name_Hall '-F 4 2 3'
_cell_length_a 6.666
_cell_length_b 6.666
_cell_length_c 6.666
_cell_angle_alpha 90.00
_cell_angle_beta 90.00
_cell_angle_gamma 90.00
loop_
_atom_site_label
_atom_site_type_symbol
_atom_site_fract_x
_atom_site_fract_y
_atom_site_fract_z
Mg1 Mg 0.000 0.000 0.000
Pa1 Pa 0.000 0.000 0.500
Rh1 Rh 0.250 0.250 0.250
```

Structure and theoretical powder XRD pattern of MgPaTc2 (a DFT-relaxed cell (PBE, the Materials Project); λ = 1.5418 Å (Cu Kα)).
Intensities are scaled so that the largest is 100.

Most intense lines, 5 to 70 degrees two-theta, low angle first:
2θ = 23.45°, 3.793 Å, I 46
2θ = 27.15°, 3.285 Å, I 1
2θ = 38.77°, 2.323 Å, I 100
2θ = 45.81°, 1.981 Å, I 25
2θ = 47.97°, 1.896 Å, I 1
2θ = 55.99°, 1.642 Å, I 17
2θ = 61.53°, 1.507 Å, I 11
2θ = 63.31°, 1.469 Å, I 1

Structure:
```
data_MgPaTc2
_symmetry_space_group_name_H-M 'F m -3 m'
_symmetry_Int_Tables_number 225
_symmetry_space_group_name_Hall '-F 4 2 3'
_cell_length_a 6.569
_cell_length_b 6.569
_cell_length_c 6.569
_cell_angle_alpha 90.00
_cell_angle_beta 90.00
_cell_angle_gamma 90.00
loop_
_atom_site_label
_atom_site_type_symbol
_atom_site_fract_x
_atom_site_fract_y
_atom_site_fract_z
Mg1 Mg 0.000 0.000 0.000
Pa1 Pa 0.000 0.000 0.500
Tc1 Tc 0.250 0.250 0.250
```

Structure and theoretical powder XRD pattern of Mg5Pb (a DFT-relaxed cell (PBE, the Materials Project); λ = 1.5418 Å (Cu Kα)).
Intensities are scaled so that the largest is 100.

Most intense lines, 5 to 70 degrees two-theta, low angle first:
2θ = 10.64°, 8.318 Å, I 100
2θ = 16.97°, 5.226 Å, I 39
2θ = 20.07°, 4.425 Å, I 53
2θ = 27.41°, 3.254 Å, I 27
2θ = 31.26°, 2.861 Å, I 30
2θ = 32.27°, 2.774 Å, I 48
2θ = 35.78°, 2.510 Å, I 75
2θ = 36.69°, 2.449 Å, I 34

Structure:
```
data_Mg5Pb
_symmetry_space_group_name_H-M 'A m m 2'
_symmetry_Int_Tables_number 38
_cell_length_a 5.226
_cell_length_b 3.340
_cell_length_c 16.636
_cell_angle_alpha 90.00
_cell_angle_beta 90.00
_cell_angle_gamma 90.00
loop_
_symmetry_equiv_pos_as_xyz
'x,y,z'
'-x,-y,z'
'-x,y,z'
'x,-y,z'
'x,y+1/2,z+1/2'
'-x,-y+1/2,z+1/2'
'-x,y+1/2,z+1/2'
'x,-y+1/2,z+1/2'
loop_
_atom_site_label
_atom_site_type_symbol
_atom_site_fract_x
_atom_site_fract_y
_atom_site_fract_z
Mg1 Mg 0.000 0.000 0.000
Mg2 Mg 0.000 0.000 0.327
Mg3 Mg 0.000 0.000 0.663
Mg4 Mg 0.500 0.000 0.214
Mg5 Mg 0.500 0.000 0.553
Pb1 Pb 0.500 0.000 0.886
```